Diffraction record for Pr4As3. The powder diffractogram is theoretical, not measured: it uses the GGA-PBE geometry in Alexandria and λ = 1.5418 Å (Cu Kα).
Intensities are scaled so that the largest is 100.

Most intense lines, 2θ = 10–90°, low angle first:
31.0°, rel. 100.0
36.9°, rel. 60.5
48.9°, rel. 17.9
51.1°, rel. 32.4
62.8°, rel. 21.8
76.8°, rel. 14.8

Cell lengths 7.897, 7.897, 7.897 Å; angles 109.47, 109.47, 109.47 degrees
Element x y z (fractional)
Pr  0.000  0.133  0.500
Pr  0.000  0.633  0.500
Pr  0.133  0.500  0.000
Pr  0.367  0.367  0.367
Pr  0.500  0.000  0.133
Pr  0.500  0.000  0.633
Pr  0.633  0.500  0.000
Pr  0.867  0.867  0.867
As  0.125  0.875  0.250
As  0.250  0.125  0.875
As  0.375  0.625  0.750
As  0.625  0.750  0.375
As  0.750  0.375  0.625
As  0.875  0.250  0.125

Diffraction record for Fe3AgSn2S8. The powder diffractogram is theoretical, not measured: it uses the GGA-PBE geometry in Alexandria and λ = 1.5418 Å (Cu Kα).
Intensities are scaled so that the largest is 100.

Most intense lines, 2θ = 10–90°, low angle first:
24.6°, rel. 32.5
28.6°, rel. 100.0
29.0°, rel. 56.8
29.3°, rel. 43.3
35.1°, rel. 65.9
50.5°, rel. 81.3

Cell lengths 7.235, 7.235, 7.235 Å; angles 121.39, 118.71, 89.93 degrees
Element x y z (fractional)
Fe  0.000  0.000  0.000
Fe  0.620  0.373  0.753
Fe  0.620  0.867  0.247
Ag  0.220  0.720  0.500
Sn  0.126  0.370  0.757
Sn  0.613  0.370  0.243
S  0.400  0.119  0.281
S  0.400  0.145  0.745
S  0.400  0.656  0.255
S  0.421  0.618  0.803
S  0.816  0.618  0.197
S  0.838  0.119  0.719
S  0.850  0.092  0.242
S  0.850  0.608  0.758

Diffraction record for SrCeEuSbO6. The powder diffractogram is theoretical, not measured: it uses the GGA-PBE geometry in Alexandria and λ = 1.5418 Å (Cu Kα).
Intensities are scaled so that the largest is 100.

Most intense lines, 2θ = 10–90°, low angle first:
29.5°, rel. 100.0
42.1°, rel. 30.3
52.2°, rel. 40.6
61.1°, rel. 18.9
69.3°, rel. 18.1
84.5°, rel. 21.5

Cell lengths 6.066, 6.066, 6.066 Å; angles 60.00, 60.00, 60.00 degrees
Element x y z (fractional)
Sr  0.000  0.000  0.000
Ce  0.750  0.750  0.750
Eu  0.500  0.500  0.500
Sb  0.250  0.250  0.250
O  0.015  0.015  0.485
O  0.015  0.485  0.015
O  0.015  0.485  0.485
O  0.485  0.015  0.015
O  0.485  0.015  0.485
O  0.485  0.485  0.015

Diffraction record for YErAgPd. The powder diffractogram is theoretical, not measured: it uses the GGA-PBE geometry in Alexandria and λ = 1.5418 Å (Cu Kα).
Intensities are scaled so that the largest is 100.

Most intense lines, 2θ = 10–90°, low angle first:
21.6°, rel. 5.5
35.7°, rel. 100.0
51.3°, rel. 17.4
64.1°, rel. 35.1
75.6°, rel. 10.8
86.5°, rel. 15.5

Cell lengths 5.033, 5.033, 5.033 Å; angles 60.00, 60.00, 60.00 degrees
Element x y z (fractional)
Y  0.000  0.000  0.000
Er  0.500  0.500  0.500
Ag  0.750  0.750  0.750
Pd  0.250  0.250  0.250

Diffraction record for CsSrCeF6. The powder diffractogram is theoretical, not measured: it uses the GGA-PBE geometry in Alexandria and λ = 1.5418 Å (Cu Kα).
Intensities are scaled so that the largest is 100.

Most intense lines, 2θ = 10–90°, low angle first:
14.0°, rel. 30.2
23.4°, rel. 25.9
23.6°, rel. 100.0
24.1°, rel. 24.0
25.1°, rel. 60.4
38.0°, rel. 21.4

Cell lengths 8.830, 8.830, 8.830 Å; angles 121.76, 119.65, 88.80 degrees
Element x y z (fractional)
Cs  0.305  0.055  0.250
Cs  0.695  0.945  0.750
Sr  0.000  0.000  0.500
Sr  0.000  0.500  0.000
Ce  0.000  0.500  0.500
Ce  0.500  0.500  0.000
F  0.057  0.420  0.245
F  0.057  0.812  0.637
F  0.081  0.831  0.250
F  0.309  0.559  0.750
F  0.325  0.188  0.745
F  0.325  0.580  0.137
F  0.675  0.420  0.863
F  0.675  0.812  0.255
F  0.691  0.441  0.250
F  0.919  0.169  0.750
F  0.943  0.188  0.363
F  0.943  0.580  0.755

Diffraction record for NaSrHg6. The powder diffractogram is theoretical, not measured: it uses the GGA-PBE geometry in Alexandria and λ = 1.5418 Å (Cu Kα).
Intensities are scaled so that the largest is 100.

Most intense lines, 2θ = 10–90°, low angle first:
30.0°, rel. 18.4
33.6°, rel. 34.8
34.4°, rel. 100.0
35.8°, rel. 37.2
60.6°, rel. 20.0
66.1°, rel. 18.4

Cell lengths 5.337, 7.006, 5.686 Å; angles 90.00, 90.00, 90.00 degrees
Element x y z (fractional)
Na  0.000  0.000  0.000
Sr  0.500  0.500  0.678
Hg  0.000  0.233  0.511
Hg  0.000  0.500  0.050
Hg  0.000  0.767  0.511
Hg  0.500  0.000  0.671
Hg  0.500  0.231  0.171
Hg  0.500  0.769  0.171

Diffraction record for CeSm4Sb5. The powder diffractogram is theoretical, not measured: it uses the GGA-PBE geometry in Alexandria and λ = 1.5418 Å (Cu Kα).
Intensities are scaled so that the largest is 100.

Most intense lines, 2θ = 10–90°, low angle first:
28.2°, rel. 100.0
40.3°, rel. 76.4
49.9°, rel. 27.4
58.3°, rel. 12.8
66.0°, rel. 35.1
73.3°, rel. 25.9

Cell lengths 11.845, 11.845, 11.845 Å; angles 158.21, 149.02, 38.19 degrees
Element x y z (fractional)
Ce  0.000  0.000  0.000
Sm  0.201  0.201  0.000
Sm  0.399  0.399  0.000
Sm  0.601  0.601  0.000
Sm  0.799  0.799  0.000
Sb  0.100  0.600  0.500
Sb  0.300  0.800  0.500
Sb  0.500  0.000  0.500
Sb  0.700  0.200  0.500
Sb  0.900  0.400  0.500

Diffraction record for Cs2SrErI6. The powder diffractogram is theoretical, not measured: it uses the GGA-PBE geometry in Alexandria and λ = 1.5418 Å (Cu Kα).
Intensities are scaled so that the largest is 100.

Most intense lines, 2θ = 10–90°, low angle first:
24.6°, rel. 69.8
28.5°, rel. 100.0
40.8°, rel. 74.7
48.2°, rel. 31.8
50.5°, rel. 26.4
66.9°, rel. 33.5

Cell lengths 8.840, 12.516, 8.854 Å; angles 90.00, 90.00, 90.00 degrees
Element x y z (fractional)
Cs  0.250  0.001  0.249
Cs  0.250  0.499  0.249
Cs  0.750  0.501  0.751
Cs  0.750  0.999  0.751
Sr  0.250  0.250  0.749
Sr  0.750  0.750  0.251
Er  0.250  0.750  0.751
Er  0.750  0.250  0.249
I  0.008  0.750  0.509
I  0.008  0.750  0.993
I  0.250  0.508  0.751
I  0.250  0.992  0.751
I  0.492  0.750  0.509
I  0.492  0.750  0.993
I  0.508  0.250  0.007
I  0.508  0.250  0.491
I  0.750  0.008  0.249
I  0.750  0.492  0.249
I  0.992  0.250  0.007
I  0.992  0.250  0.491